For Cu3Mo4O12, a PBE+U-relaxed structure gives the simulated X-ray powder pattern in this record (λ = 1.5418 Å (Cu Kα)).
Intensities are scaled so that the largest is 100.

Top 8 peaks for 2θ = 10–90°, in order of rising 2θ:
2θ = 16.51°, I = 14
2θ = 23.44°, I = 23
2θ = 33.38°, I = 100
2θ = 33.43°, I = 20
2θ = 47.94°, I = 30
2θ = 59.60°, I = 24
2θ = 59.67°, I = 19
2θ = 59.79°, I = 14

Structural model:
Cell: 6.5604 6.5754 6.5756 Å, 109.46 109.39 109.43°
Fractional positions:
Cu (0.0000, 0.0000, 0.0000)
Cu (0.0000, 0.5000, 0.5000)
Cu (0.5000, 0.0000, 0.5000)
Mo (0.0000, 0.0000, 0.5000)
Mo (0.0000, 0.5000, 0.0000)
Mo (0.5000, 0.0000, 0.0000)
Mo (0.5000, 0.5000, 0.5000)
O (0.0073, 0.3106, 0.6802)
O (0.1812, 0.3669, 0.1751)
O (0.1852, 0.0082, 0.8162)
O (0.3225, 0.1918, 0.5081)
O (0.3293, 0.8210, 0.1331)
O (0.3650, 0.6850, 0.6929)
O (0.6350, 0.3150, 0.3071)
O (0.6707, 0.1790, 0.8669)
O (0.6775, 0.8082, 0.4919)
O (0.8148, 0.9918, 0.1838)
O (0.8188, 0.6331, 0.8249)
O (0.9927, 0.6894, 0.3198)


For CuMo3O11, a PBE+U-relaxed structure gives the simulated X-ray powder pattern in this record (λ = 1.5418 Å (Cu Kα)).
Intensities are scaled so that the largest is 100.

Top 8 peaks for 2θ = 10–90°, in order of rising 2θ:
2θ = 11.99°, I = 100
2θ = 13.18°, I = 90
2θ = 23.38°, I = 36
2θ = 25.91°, I = 50
2θ = 28.46°, I = 81
2θ = 31.35°, I = 30
2θ = 31.63°, I = 42
2θ = 59.57°, I = 31

Structural model:
Cell: 8.7506 7.7012 13.7550 Å, 90.00 90.00 90.00°
Fractional positions:
Cu (0.0539, 0.2500, 0.1542)
Cu (0.4461, 0.7500, 0.6542)
Cu (0.5539, 0.2500, 0.3458)
Cu (0.9461, 0.7500, 0.8458)
Mo (0.1346, 0.0006, 0.6015)
Mo (0.1346, 0.4994, 0.6015)
Mo (0.1721, 0.2500, 0.4037)
Mo (0.3279, 0.7500, 0.9037)
Mo (0.3654, 0.5006, 0.1015)
Mo (0.3654, 0.9994, 0.1015)
Mo (0.6347, 0.0006, 0.8985)
Mo (0.6347, 0.4994, 0.8985)
Mo (0.6721, 0.2500, 0.0963)
Mo (0.8279, 0.7500, 0.5963)
Mo (0.8654, 0.5006, 0.3985)
Mo (0.8654, 0.9994, 0.3985)
O (0.0824, 0.7500, 0.5913)
O (0.0976, 0.0313, 0.7232)
O (0.0976, 0.4687, 0.7232)
O (0.1134, 0.0157, 0.4354)
O (0.1134, 0.4843, 0.4354)
O (0.1148, 0.2500, 0.9013)
O (0.1256, 0.7500, 0.9199)
O (0.1361, 0.2500, 0.5635)
O (0.1529, 0.2500, 0.2745)
O (0.1670, 0.0470, 0.0974)
O (0.1670, 0.4530, 0.0974)
O (0.3330, 0.5470, 0.5974)
O (0.3330, 0.9530, 0.5974)
O (0.3471, 0.7500, 0.7745)
O (0.3639, 0.7500, 0.0635)
O (0.3744, 0.2500, 0.4199)
O (0.3852, 0.7500, 0.4013)
O (0.3866, 0.5157, 0.9354)
O (0.3866, 0.9843, 0.9354)
O (0.4024, 0.5313, 0.2232)
O (0.4024, 0.9687, 0.2232)
O (0.4176, 0.2500, 0.0913)
O (0.5824, 0.7500, 0.9087)
O (0.5976, 0.0313, 0.7768)
O (0.5976, 0.4687, 0.7768)
O (0.6134, 0.0157, 0.0646)
O (0.6134, 0.4843, 0.0646)
O (0.6148, 0.2500, 0.5987)
O (0.6256, 0.7500, 0.5801)
O (0.6361, 0.2500, 0.9365)
O (0.6529, 0.2500, 0.2255)
O (0.6670, 0.0470, 0.4026)
O (0.6670, 0.4530, 0.4026)
O (0.8330, 0.5470, 0.9026)
O (0.8330, 0.9530, 0.9026)
O (0.8471, 0.7500, 0.7255)
O (0.8639, 0.7500, 0.4365)
O (0.8744, 0.2500, 0.0801)
O (0.8852, 0.7500, 0.0987)
O (0.8866, 0.5157, 0.5646)
O (0.8866, 0.9843, 0.5646)
O (0.9024, 0.5313, 0.2768)
O (0.9024, 0.9687, 0.2768)
O (0.9176, 0.2500, 0.4087)


For Cu3Mo2O9, a PBE+U-relaxed structure gives the simulated X-ray powder pattern in this record (λ = 1.5418 Å (Cu Kα)).
Intensities are scaled so that the largest is 100.

Top 8 peaks for 2θ = 10–90°, in order of rising 2θ:
2θ = 22.92°, I = 46
2θ = 24.92°, I = 61
2θ = 25.87°, I = 100
2θ = 26.36°, I = 43
2θ = 26.57°, I = 78
2θ = 28.98°, I = 59
2θ = 34.82°, I = 55
2θ = 35.51°, I = 47

Structural model:
Cell: 7.7607 14.8812 6.8910 Å, 90.00 90.00 90.00°
Fractional positions:
Cu (0.0033, 0.0020, 0.0000)
Cu (0.1629, 0.1415, 0.2579)
Cu (0.2030, 0.4349, 0.7527)
Cu (0.2970, 0.9349, 0.2527)
Cu (0.3371, 0.6415, 0.7579)
Cu (0.4967, 0.5020, 0.5000)
Cu (0.5033, 0.4980, 0.0000)
Cu (0.6629, 0.3585, 0.2579)
Cu (0.7030, 0.0651, 0.7527)
Cu (0.7970, 0.5651, 0.2527)
Cu (0.8371, 0.8585, 0.7579)
Cu (0.9967, 0.9980, 0.5000)
Mo (0.1538, 0.3859, 0.2516)
Mo (0.2380, 0.6659, 0.2517)
Mo (0.2620, 0.1659, 0.7517)
Mo (0.3462, 0.8859, 0.7516)
Mo (0.6538, 0.1141, 0.2516)
Mo (0.7380, 0.8341, 0.2517)
Mo (0.7620, 0.3341, 0.7517)
Mo (0.8462, 0.6141, 0.7516)
O (0.0327, 0.6096, 0.2479)
O (0.0694, 0.5945, 0.7449)
O (0.0889, 0.0146, 0.2519)
O (0.1325, 0.1308, 0.5409)
O (0.1423, 0.1340, 0.9715)
O (0.1952, 0.2682, 0.2582)
O (0.2021, 0.7814, 0.2451)
O (0.2452, 0.9362, 0.5366)
O (0.2484, 0.4379, 0.4677)
O (0.2516, 0.9379, 0.9677)
O (0.2548, 0.4362, 0.0366)
O (0.2979, 0.2814, 0.7451)
O (0.3048, 0.7682, 0.7582)
O (0.3577, 0.6340, 0.4715)
O (0.3675, 0.6308, 0.0409)
O (0.4111, 0.5146, 0.7519)
O (0.4306, 0.0945, 0.2449)
O (0.4673, 0.1096, 0.7479)
O (0.5327, 0.8904, 0.2479)
O (0.5694, 0.9055, 0.7449)
O (0.5889, 0.4854, 0.2519)
O (0.6325, 0.3692, 0.5409)
O (0.6423, 0.3660, 0.9715)
O (0.6952, 0.2318, 0.2582)
O (0.7021, 0.7186, 0.2451)
O (0.7452, 0.5638, 0.5366)
O (0.7484, 0.0621, 0.4677)
O (0.7516, 0.5621, 0.9677)
O (0.7548, 0.0638, 0.0366)
O (0.7979, 0.2186, 0.7451)
O (0.8048, 0.7318, 0.7582)
O (0.8577, 0.8660, 0.4715)
O (0.8675, 0.8692, 0.0409)
O (0.9111, 0.9854, 0.7519)
O (0.9306, 0.4055, 0.2449)
O (0.9673, 0.3904, 0.7479)


For Cu3Mo4O12, a PBE+U-relaxed structure gives the simulated X-ray powder pattern in this record (λ = 1.5418 Å (Cu Kα)).
Intensities are scaled so that the largest is 100.

Top 8 peaks for 2θ = 10–90°, in order of rising 2θ:
2θ = 16.52°, I = 12
2θ = 23.44°, I = 19
2θ = 33.39°, I = 100
2θ = 47.95°, I = 25
2θ = 54.04°, I = 8
2θ = 59.69°, I = 48
2θ = 70.15°, I = 13
2θ = 79.95°, I = 17

Structural model:
Cell: 6.5747 6.5747 6.5747 Å, 109.50 109.50 109.50°
Fractional positions:
Cu (0.0000, 0.5000, 0.5000)
Cu (0.5000, 0.0000, 0.5000)
Cu (0.5000, 0.5000, 0.0000)
Mo (0.0000, 0.0000, 0.5000)
Mo (0.0000, 0.5000, 0.0000)
Mo (0.5000, 0.0000, 0.0000)
Mo (0.5000, 0.5000, 0.5000)
O (0.1325, 0.8141, 0.3077)
O (0.1778, 0.3086, 0.4924)
O (0.1859, 0.6923, 0.8675)
O (0.3077, 0.1325, 0.8141)
O (0.3086, 0.4924, 0.1778)
O (0.4924, 0.1778, 0.3086)
O (0.5076, 0.8222, 0.6914)
O (0.6914, 0.5076, 0.8222)
O (0.6923, 0.8675, 0.1859)
O (0.8141, 0.3077, 0.1325)
O (0.8222, 0.6914, 0.5076)
O (0.8675, 0.1859, 0.6923)


For Cu4Mo5O17, a PBE+U-relaxed structure gives the simulated X-ray powder pattern in this record (λ = 1.5418 Å (Cu Kα)).
Intensities are scaled so that the largest is 100.

Top 8 peaks for 2θ = 10–90°, in order of rising 2θ:
2θ = 22.24°, I = 32
2θ = 24.22°, I = 34
2θ = 27.12°, I = 54
2θ = 28.00°, I = 100
2θ = 29.01°, I = 34
2θ = 29.60°, I = 78
2θ = 34.73°, I = 34
2θ = 46.37°, I = 32

Structural model:
Cell: 6.8558 9.6402 11.0987 Å, 105.86 92.03 110.06°
Fractional positions:
Cu (0.0761, 0.2765, 0.0550)
Cu (0.2135, 0.4033, 0.7993)
Cu (0.2541, 0.2121, 0.4253)
Cu (0.3142, 0.0465, 0.1250)
Cu (0.6858, 0.9535, 0.8750)
Cu (0.7459, 0.7879, 0.5747)
Cu (0.7865, 0.5967, 0.2007)
Cu (0.9239, 0.7235, 0.9450)
Mo (0.2062, 0.0570, 0.8289)
Mo (0.2250, 0.7080, 0.7001)
Mo (0.2425, 0.8775, 0.4728)
Mo (0.2812, 0.5384, 0.3514)
Mo (0.3174, 0.6882, 0.1111)
Mo (0.6826, 0.3118, 0.8889)
Mo (0.7188, 0.4616, 0.6486)
Mo (0.7575, 0.1225, 0.5272)
Mo (0.7750, 0.2920, 0.2999)
Mo (0.7938, 0.9430, 0.1711)
O (0.0247, 0.1630, 0.5643)
O (0.0468, 0.6708, 0.0860)
O (0.0644, 0.0025, 0.2311)
O (0.0978, 0.5121, 0.7092)
O (0.1412, 0.3473, 0.3691)
O (0.1615, 0.8289, 0.8482)
O (0.2035, 0.1183, 0.0014)
O (0.2169, 0.6639, 0.5105)
O (0.2560, 0.9186, 0.6566)
O (0.2648, 0.4909, 0.1709)
O (0.3006, 0.7500, 0.3217)
O (0.3384, 0.2503, 0.8044)
O (0.3604, 0.5947, 0.9604)
O (0.3762, 0.0709, 0.4624)
O (0.4514, 0.9011, 0.1294)
O (0.4545, 0.4155, 0.5970)
O (0.4968, 0.7523, 0.7369)
O (0.5032, 0.2477, 0.2631)
O (0.5455, 0.5845, 0.4030)
O (0.5486, 0.0989, 0.8706)
O (0.6238, 0.9291, 0.5376)
O (0.6396, 0.4053, 0.0396)
O (0.6616, 0.7497, 0.1956)
O (0.6994, 0.2500, 0.6783)
O (0.7352, 0.5091, 0.8291)
O (0.7440, 0.0814, 0.3434)
O (0.7831, 0.3361, 0.4895)
O (0.7965, 0.8817, 0.9986)
O (0.8385, 0.1711, 0.1518)
O (0.8588, 0.6527, 0.6309)
O (0.9022, 0.4879, 0.2908)
O (0.9356, 0.9975, 0.7689)
O (0.9532, 0.3292, 0.9140)
O (0.9753, 0.8370, 0.4357)